[1]
Diffraction record for Y6RuI10. The PXRD pattern is theoretical, not measured: it uses a crystal structure in the Materials Project, relaxed with PBE and Cu Kα (weighted mean of Kα1 and Kα2).
Kinematic intensities with the Lorentz-polarization factor, no thermal factor.

Crystal structure
```
data_Y6RuI10
_chemical_formula_sum 'Y6 Ru1 I10'
_space_group_name_H-M_alt 'P -1'
_space_group_IT_number 2
_cell_length_a 7.760
_cell_length_b 9.734
_cell_length_c 9.765
_cell_angle_alpha 107.02
_cell_angle_beta 96.85
_cell_angle_gamma 104.61
loop_
_space_group_symop_operation_xyz
'x,y,z'
'-x,-y,-z'
loop_
_atom_site_label
_atom_site_type_symbol
_atom_site_fract_x
_atom_site_fract_y
_atom_site_fract_z
_atom_site_occupancy
Y1 Y 0.030 0.220 0.418 1
Y2 Y 0.113 0.542 0.262 1
Y3 Y 0.352 0.626 0.668 1
Ru1 Ru 0.000 0.500 0.500 1
I1 I 0.086 0.871 0.320 1
I2 I 0.217 0.242 0.154 1
I3 I 0.257 0.587 0.961 1
I4 I 0.350 0.950 0.772 1
I5 I 0.455 0.317 0.592 1
```

Top 10 peaks for 2θ from 10° to 80°, by intensity:
hkl, 2theta, I (rel.)
1 -3 0, 28.93, 100
2 0 1, 28.02, 53
1 3 1, 40.72, 36
1 2 -1, 24.74, 30
1 -1 4, 40.92, 19
0 2 4, 50.73, 18
0 4 -3, 41.55, 17
-2 2 3, 41.19, 17
3 1 -2, 40.49, 17
-2 1 1, 24.56, 17


[2]
Diffraction record for Gd2Zn6Ge3. The PXRD pattern is theoretical, not measured: it uses a crystal structure in the Materials Project, relaxed with PBE and Cu Kα (weighted mean of Kα1 and Kα2).
Kinematic intensities with the Lorentz-polarization factor, no thermal factor.

Crystal structure
```
data_Gd2Zn6Ge3
_chemical_formula_sum 'Gd2 Zn6 Ge3'
_space_group_name_H-M_alt 'P -6 2 m'
_space_group_IT_number 189
_space_group_name_Hall 'P -6 -2'
_cell_length_a 8.7474
_cell_length_b 8.7474
_cell_length_c 3.3220
_cell_angle_alpha 90.00
_cell_angle_beta 90.00
_cell_angle_gamma 120.00
loop_
_atom_site_label
_atom_site_type_symbol
_atom_site_fract_x
_atom_site_fract_y
_atom_site_fract_z
_atom_site_occupancy
Gd1 Gd 0.3333 0.6667 0.0000 1
Zn1 Zn 0.0000 0.2174 0.0000 1
Zn2 Zn 0.0000 0.7502 0.5000 1
Ge1 Ge 0.0000 0.4570 0.5000 1
```

Top 10 peaks for 2θ from 10° to 80°, by intensity:
hkl, 2theta, I (rel.)
1 1 1, 33.89, 100
2 1 0, 31.24, 86
2 1 1, 41.64, 81
2 0 1, 35.96, 49
4 1 1, 62.79, 29
4 1 0, 55.59, 25
3 0 0, 35.55, 24
3 3 1, 70.55, 22
2 1 2, 64.90, 20
0 0 2, 55.31, 18


[3]
Diffraction record for Re2N. The PXRD pattern is theoretical, not measured: it uses a crystal structure in the Materials Project, relaxed with PBE and Cu Kα (weighted mean of Kα1 and Kα2).
Kinematic intensities with the Lorentz-polarization factor, no thermal factor.

Crystal structure
```
data_Re2N
_chemical_formula_sum 'Re4 N2'
_space_group_name_H-M_alt 'P 63/m m c'
_space_group_IT_number 194
_space_group_name_Hall '-P 6c 2c'
_cell_length_a 2.8673
_cell_length_b 2.8673
_cell_length_c 9.8718
_cell_angle_alpha 90.00
_cell_angle_beta 90.00
_cell_angle_gamma 120.00
loop_
_atom_site_label
_atom_site_type_symbol
_atom_site_fract_x
_atom_site_fract_y
_atom_site_fract_z
_atom_site_occupancy
Re1 Re 0.3333 0.6667 0.1059 1
N1 N 0.3333 0.6667 0.7500 1
```

Top 10 peaks for 2θ from 10° to 80°, by intensity:
hkl, 2theta, I (rel.)
1 0 3, 45.78, 100
1 0 1, 37.34, 67
1 0 0, 36.17, 39
0 0 4, 36.40, 34
1 1 0, 65.06, 28
1 1 4, 76.91, 25
1 0 7, 77.90, 23
1 0 4, 52.26, 19
0 0 2, 17.97, 10
2 0 1, 77.49, 9


[4]
Diffraction record for K2MgH8S2O12. The PXRD pattern is theoretical, not measured: it uses a crystal structure in the Materials Project, relaxed with PBE and Cu Kα (weighted mean of Kα1 and Kα2).
Kinematic intensities with the Lorentz-polarization factor, no thermal factor.

Crystal structure
```
data_K2MgH8S2O12
_chemical_formula_sum 'K8 Mg4 H32 S8 O48'
_space_group_name_H-M_alt 'C 1 2 1'
_space_group_IT_number 5
_cell_length_a 11.880
_cell_length_b 9.755
_cell_length_c 10.041
_cell_angle_alpha 90.00
_cell_angle_beta 95.31
_cell_angle_gamma 90.00
loop_
_space_group_symop_operation_xyz
'x,y,z'
'-x,y,-z'
'x+1/2,y+1/2,z'
'-x+1/2,y+1/2,-z'
loop_
_atom_site_label
_atom_site_type_symbol
_atom_site_fract_x
_atom_site_fract_y
_atom_site_fract_z
_atom_site_occupancy
K1 K 0.167 0.000 0.247 1
K2 K 0.170 0.528 0.249 1
Mg1 Mg 0.000 0.262 0.000 1
Mg2 Mg 0.000 0.763 0.500 1
H1 H 0.053 0.264 0.273 1
H2 H 0.057 0.539 0.962 1
H3 H 0.057 0.986 0.962 1
H4 H 0.078 0.527 0.608 1
H5 H 0.078 0.998 0.607 1
H6 H 0.080 0.266 0.742 1
H7 H 0.084 0.632 0.727 1
H8 H 0.085 0.893 0.727 1
S1 S 0.205 0.762 0.954 1
S2 S 0.207 0.265 0.527 1
O1 O 0.000 0.045 0.000 1
O2 O 0.000 0.479 0.000 1
O3 O 0.014 0.260 0.794 1
O4 O 0.039 0.609 0.641 1
O5 O 0.039 0.917 0.642 1
O6 O 0.155 0.637 0.884 1
O7 O 0.155 0.888 0.884 1
O8 O 0.159 0.385 0.595 1
O9 O 0.160 0.138 0.582 1
O10 O 0.167 0.765 0.439 1
O11 O 0.171 0.262 0.059 1
O12 O 0.180 0.273 0.379 1
O13 O 0.181 0.762 0.095 1
```

Top 10 peaks for 2θ from 10° to 80°, by intensity:
hkl, 2theta, I (rel.)
0 2 2, 25.51, 100
3 1 -1, 25.21, 66
2 2 -2, 28.84, 47
3 1 1, 26.67, 45
2 0 0, 14.98, 33
2 2 3, 37.07, 25
0 2 0, 18.18, 24
2 2 2, 30.56, 23
2 0 3, 32.02, 22
0 4 4, 52.43, 22